[1]
Diffraction record for Er3ZnSn3. The X-ray powder pattern is computed, not measured: it uses a PBE-relaxed structure and a wavelength of 1.5418 Å.
Kinematic intensities with the Lorentz-polarization factor, no thermal factor.

Main lines, by intensity (10 to 90 degrees two-theta):
2θ = 31.57°, d = 2.834 Å, I = 100
2θ = 37.53°, d = 2.397 Å, I = 70
2θ = 30.67°, d = 2.915 Å, I = 63
2θ = 40.91°, d = 2.206 Å, I = 53
2θ = 31.85°, d = 2.810 Å, I = 49
2θ = 31.30°, d = 2.858 Å, I = 44
2θ = 36.10°, d = 2.488 Å, I = 40
2θ = 52.75°, d = 1.735 Å, I = 38

Unit cell a=6.053 b=6.053 c=14.792 alpha=106.60 beta=106.60 gamma=42.75
Fractional coordinates of all 14 atoms:
Er1 0.016 0.016 0.379
Er2 0.100 0.100 0.921
Er3 0.231 0.231 0.230
Er4 0.769 0.769 0.770
Er5 0.900 0.900 0.079
Er6 0.984 0.984 0.621
Zn1 0.274 0.274 0.626
Zn2 0.726 0.726 0.374
Sn1 0.354 0.354 0.457
Sn2 0.373 0.373 0.925
Sn3 0.496 0.496 0.771
Sn4 0.504 0.504 0.229
Sn5 0.627 0.627 0.075
Sn6 0.646 0.646 0.543

[2]
Diffraction record for Er2Zn16Sn. The X-ray powder pattern is computed, not measured: it uses a PBE-relaxed structure and a wavelength of 1.5418 Å.
Kinematic intensities with the Lorentz-polarization factor, no thermal factor.

Main lines, by intensity (10 to 90 degrees two-theta):
2θ = 39.95°, d = 2.257 Å, I = 100
2θ = 39.38°, d = 2.288 Å, I = 58
2θ = 33.93°, d = 2.642 Å, I = 51
2θ = 44.78°, d = 2.024 Å, I = 28
2θ = 41.60°, d = 2.171 Å, I = 28
2θ = 71.41°, d = 1.321 Å, I = 23
2θ = 74.80°, d = 1.269 Å, I = 23
2θ = 35.69°, d = 2.516 Å, I = 22

Unit cell a=6.839 b=6.839 c=6.839 alpha=84.00 beta=84.00 gamma=84.00
Fractional coordinates of all 19 atoms:
Er1 0.000 0.000 0.000
Er2 0.320 0.320 0.320
Zn1 0.010 0.010 0.496
Zn2 0.010 0.496 0.010
Zn3 0.148 0.672 0.672
Zn4 0.308 0.308 0.842
Zn5 0.308 0.842 0.308
Zn6 0.350 0.662 0.978
Zn7 0.350 0.978 0.662
Zn8 0.496 0.010 0.010
Zn9 0.662 0.350 0.978
Zn10 0.662 0.978 0.350
Zn11 0.672 0.148 0.672
Zn12 0.672 0.672 0.148
Zn13 0.768 0.768 0.768
Zn14 0.842 0.308 0.308
Zn15 0.978 0.350 0.662
Zn16 0.978 0.662 0.350
Sn1 0.562 0.562 0.562

[3]
Diffraction record for Er2Zn3Sn3. The X-ray powder pattern is computed, not measured: it uses a PBE-relaxed structure and a wavelength of 1.5418 Å.
Kinematic intensities with the Lorentz-polarization factor, no thermal factor.

Main lines, by intensity (10 to 90 degrees two-theta):
2θ = 35.01°, d = 2.563 Å, I = 100
2θ = 40.15°, d = 2.246 Å, I = 17
2θ = 40.53°, d = 2.226 Å, I = 17
2θ = 41.28°, d = 2.187 Å, I = 15
2θ = 69.65°, d = 1.350 Å, I = 14
2θ = 70.17°, d = 1.341 Å, I = 13
2θ = 71.21°, d = 1.324 Å, I = 12
2θ = 58.37°, d = 1.581 Å, I = 12

Unit cell a=4.452 b=4.492 c=8.749 alpha=90.00 beta=90.00 gamma=90.00
Fractional coordinates of all 8 atoms:
Er1 0.000 0.000 0.247
Er2 0.000 0.000 0.753
Zn1 0.000 0.500 0.000
Zn2 0.500 0.500 0.228
Zn3 0.500 0.500 0.772
Sn1 0.000 0.500 0.500
Sn2 0.500 0.000 0.000
Sn3 0.500 0.000 0.500